Entry 1:
Calculated powder diffractogram
Compound: Sm2AlBiO6
Radiation: Cu Kα (weighted mean of Kα1 and Kα2)
Structure: DFT lattice parameters and positions (PBE)

Main lines, sorted by position (10° ≤ 2θ ≤ 90°):
two_theta  I/Imax
16.6  20
16.8  10
23.6  17
29.0  100
33.5  34
33.9  11
48.1  19
48.4  27
57.1  31
57.7  11

Crystal structure
```
Sm2AlBiO6
1.0
5.3555 0.0000 0.0000
0.0000 5.3555 0.0000
0.0000 0.0000 5.2890
Sm Al Bi O
2 1 1 6
Cartesian
0.0000 2.6777 0.0000
2.6777 0.0000 0.0000
0.0000 0.0000 3.2286
2.6777 2.6777 2.9618
0.0000 0.0000 1.4262
1.2351 1.2351 3.9487
1.2351 4.1203 3.9487
2.6777 2.6777 0.6551
4.1203 1.2351 3.9487
4.1203 4.1203 3.9487
```

=====

Entry 2:
Calculated powder diffractogram
Compound: Pr3ScTe6
Radiation: Cu Kα (weighted mean of Kα1 and Kα2)
Structure: DFT lattice parameters and positions (PBE)

Main lines, sorted by position (10° ≤ 2θ ≤ 90°):
two_theta  I/Imax
17.0  37
21.7  58
23.8  42
24.1  21
30.9  93
31.1  100
36.6  74
37.2  34
42.2  18
44.6  30

Crystal structure
```
Pr3ScTe6
1.0
6.4937 3.7491 5.2159
-6.4937 3.7491 5.2159
0.0000 -7.4983 5.2159
Pr Sc Te
6 2 12
Cartesian
-3.2900 -3.1192 7.3046
-4.3463 1.2896 8.3430
1.0563 -4.4088 8.3430
-1.0563 4.4088 7.3046
4.3463 -1.2896 7.3046
3.2900 3.1192 8.3430
0.0000 0.0000 0.0000
0.0000 0.0000 7.8238
-5.6921 -1.5799 8.6513
-1.4778 -5.7195 6.9963
-2.4648 -0.1795 6.2020
-4.2143 4.1396 6.9963
1.3879 -2.0448 6.2020
-1.0769 -2.2243 9.4456
1.0769 2.2244 6.2020
-1.3879 2.0448 9.4456
4.2143 -4.1396 8.6513
2.4648 0.1795 9.4456
1.4778 5.7195 8.6513
5.6921 1.5799 6.9963
```

=====

Entry 3:
Calculated powder diffractogram
Compound: BaZn9Ni2
Radiation: Cu Kα (weighted mean of Kα1 and Kα2)
Structure: DFT lattice parameters and positions (PBE)

Main lines, sorted by position (10° ≤ 2θ ≤ 90°):
two_theta  I/Imax
28.2  28
32.9  32
37.1  100
37.8  82
39.6  37
42.7  30
44.5  66
46.1  47
56.9  24
67.8  26

Crystal structure
```
BaZn9Ni2
1.0
-5.3246 5.3246 3.4919
5.3246 -5.3246 3.4919
5.3246 5.3246 -3.4919
Ba Zn Ni
2 18 4
Cartesian
5.3246 2.6623 0.8730
0.0000 2.6623 2.6189
5.3246 -2.6623 2.6189
4.0070 -0.4824 1.3815
6.6421 -0.4824 1.3815
2.1799 1.3447 0.3644
8.4693 1.3447 0.3644
4.0070 4.8422 -1.3815
1.3176 -0.4824 2.1104
2.1799 3.9799 0.3644
3.1447 -1.3447 3.8564
2.1799 6.6693 -0.3644
3.1447 1.3447 3.1275
4.0070 5.8070 1.3815
1.3176 0.4824 4.8734
-3.1447 3.9799 3.1275
3.1447 3.9799 3.1275
-1.3176 5.8070 2.1104
1.3176 5.8070 2.1104
0.0000 7.9869 0.8730
0.0000 0.0000 0.0000
2.6623 2.6623 -1.7460
2.6623 -2.6623 1.7460
0.0000 5.3246 0.0000
```

=====

Entry 4:
Calculated powder diffractogram
Compound: MnH4Pd5
Radiation: Cu Kα (weighted mean of Kα1 and Kα2)
Structure: DFT lattice parameters and positions (PBE)

Main lines, sorted by position (10° ≤ 2θ ≤ 90°):
two_theta  I/Imax
38.2  100
38.4  99
42.7  36
44.7  33
46.0  30
64.6  20
66.0  20
75.1  12
75.4  12
77.8  12

Crystal structure
```
MnH4Pd5
1.0
3.9478 0.0000 0.0000
0.0007 4.0572 0.0000
0.0077 1.9811 6.3492
Mn H Pd
1 4 5
Cartesian
0.0000 0.0000 0.0000
0.0092 1.9920 4.1157
1.9773 2.0169 1.8966
1.9789 4.0214 4.4526
3.9470 4.0463 2.2335
3.9491 2.0140 2.0449
0.0071 4.0243 4.3043
1.9805 1.9937 4.3168
1.9742 2.0286 0.0000
1.9757 4.0446 2.0324
```

=====

Entry 5:
Calculated powder diffractogram
Compound: CeAl8Fe4
Radiation: Cu Kα (weighted mean of Kα1 and Kα2)
Structure: DFT lattice parameters and positions (PBE)

Main lines, sorted by position (10° ≤ 2θ ≤ 90°):
two_theta  I/Imax
14.3  26
20.4  25
28.9  66
32.4  17
35.6  30
41.3  100
41.5  69
46.6  16
60.0  24
75.4  17

Crystal structure
```
CeAl8Fe4
1.0
-4.3736 4.3736 2.5085
4.3736 -4.3736 2.5085
4.3736 4.3736 -2.5085
Ce Al Fe
1 8 4
Cartesian
0.0000 0.0000 0.0000
2.9985 0.0000 0.0000
5.7487 0.0000 0.0000
4.3736 2.4357 0.0000
0.0000 2.9985 0.0000
2.4357 4.3736 0.0000
1.9378 0.0000 2.5085
0.0000 5.7487 0.0000
0.0000 1.9378 2.5085
2.1868 2.1868 -1.2542
2.1868 -2.1868 1.2542
-2.1868 2.1868 1.2542
2.1868 2.1868 1.2542
```

=====

Entry 6:
Calculated powder diffractogram
Compound: SnMoI3
Radiation: Cu Kα (weighted mean of Kα1 and Kα2)
Structure: DFT lattice parameters and positions (PBE)

Main lines, sorted by position (10° ≤ 2θ ≤ 90°):
two_theta  I/Imax
15.5  17
27.1  87
31.4  100
45.0  73
53.3  40
55.9  26
72.2  17
74.4  33
83.0  25
89.3  13

Crystal structure
```
SnMoI3
1.0
5.6999 0.0000 0.0000
0.0000 5.6999 0.0000
0.0000 0.0000 5.6999
Sn Mo I
1 1 3
Cartesian
0.0000 0.0000 0.0000
2.8500 2.8500 2.8500
0.0000 2.8500 2.8500
2.8500 0.0000 2.8500
2.8500 2.8500 0.0000
```

=====

Repeat the fifth record exactly.
Calculated powder diffractogram
Compound: CeAl8Fe4
Radiation: Cu Kα (weighted mean of Kα1 and Kα2)
Structure: DFT lattice parameters and positions (PBE)

Main lines, sorted by position (10° ≤ 2θ ≤ 90°):
two_theta  I/Imax
14.3  26
20.4  25
28.9  66
32.4  17
35.6  30
41.3  100
41.5  69
46.6  16
60.0  24
75.4  17

Crystal structure
```
CeAl8Fe4
1.0
-4.3736 4.3736 2.5085
4.3736 -4.3736 2.5085
4.3736 4.3736 -2.5085
Ce Al Fe
1 8 4
Cartesian
0.0000 0.0000 0.0000
2.9985 0.0000 0.0000
5.7487 0.0000 0.0000
4.3736 2.4357 0.0000
0.0000 2.9985 0.0000
2.4357 4.3736 0.0000
1.9378 0.0000 2.5085
0.0000 5.7487 0.0000
0.0000 1.9378 2.5085
2.1868 2.1868 -1.2542
2.1868 -2.1868 1.2542
-2.1868 2.1868 1.2542
2.1868 2.1868 1.2542
```